# Mn2Be5Si
Calculated powder diffractogram, Cu Kα (λ = 1.5418 Å). Input: a DFT-relaxed cell (PBE, Alexandria).
No peak broadening, texture or thermal motion is included.

Most intense lines, 2θ from 10° to 90°, in order of rising 2θ:
- 2θ 26.64, rel. 92.1
- 2θ 26.75, rel. 25.9
- 2θ 38.07, rel. 70.0
- 2θ 38.12, rel. 20.0
- 2θ 47.09, rel. 100.0
- 2θ 54.85, rel. 30.7
- 2θ 55.12, rel. 15.1
- 2θ 61.98, rel. 18.8
- 2θ 68.75, rel. 20.9
- 2θ 81.51, rel. 18.6

Structure:
```
Mn2Be5Si
1.0
3.345 -3.350 0.000
3.345 3.350 0.000
0.000 0.000 3.332
Mn Be Si
2 5 1
Direct
0.250 0.750 0.000
0.750 0.250 0.000
0.000 0.000 0.500
0.000 0.500 0.500
0.240 0.240 0.000
0.500 0.000 0.500
0.760 0.760 0.000
0.500 0.500 0.500
```


# TmMnBeSi2
Calculated powder diffractogram, Cu Kα (λ = 1.5418 Å). Input: a DFT-relaxed cell (PBE, Alexandria).
No peak broadening, texture or thermal motion is included.

Most intense lines, 2θ from 10° to 90°, in order of rising 2θ:
- 2θ 17.25, rel. 36.3
- 2θ 24.89, rel. 93.5
- 2θ 33.20, rel. 33.5
- 2θ 35.20, rel. 93.4
- 2θ 37.65, rel. 100.0
- 2θ 47.66, rel. 37.2
- 2θ 50.41, rel. 38.4
- 2θ 54.51, rel. 22.9
- 2θ 60.62, rel. 38.4
- 2θ 71.89, rel. 26.6

Structure:
```
TmMnBeSi2
1.0
-1.908 1.908 5.141
1.908 -1.908 5.141
1.908 1.908 -5.141
Tm Mn Be Si
1 1 1 2
Direct
0.000 0.000 0.000
0.750 0.250 0.500
0.250 0.750 0.500
0.383 0.383 0.000
0.617 0.617 0.000
```


# TbMn10Be2
Calculated powder diffractogram, Cu Kα (λ = 1.5418 Å). Input: a DFT-relaxed cell (PBE, Alexandria).
No peak broadening, texture or thermal motion is included.

Most intense lines, 2θ from 10° to 90°, in order of rising 2θ:
- 2θ 31.02, rel. 34.5
- 2θ 38.46, rel. 31.8
- 2θ 39.13, rel. 46.2
- 2θ 41.09, rel. 46.9
- 2θ 43.90, rel. 53.0
- 2θ 44.51, rel. 23.2
- 2θ 44.97, rel. 43.8
- 2θ 45.10, rel. 100.0
- 2θ 45.42, rel. 23.5
- 2θ 81.55, rel. 18.9

Structure:
```
TbMn10Be2
1.0
4.125 -4.681 0.000
4.125 4.681 0.000
0.000 0.000 7.933
Tb Mn Be
2 20 4
Direct
0.125 0.875 0.750
0.875 0.125 0.250
0.126 0.382 0.750
0.169 0.831 0.099
0.169 0.831 0.401
0.226 0.226 0.000
0.226 0.226 0.500
0.248 0.487 0.250
0.382 0.126 0.250
0.394 0.606 0.569
0.394 0.606 0.931
0.487 0.248 0.750
0.513 0.752 0.250
0.606 0.394 0.069
0.606 0.394 0.431
0.618 0.874 0.750
0.752 0.513 0.750
0.774 0.774 0.000
0.774 0.774 0.500
0.831 0.169 0.599
0.831 0.169 0.901
0.874 0.618 0.250
0.000 0.500 0.000
0.000 0.500 0.500
0.500 0.000 0.000
0.500 0.000 0.500
```


# MnBeTe
Calculated powder diffractogram, Cu Kα (λ = 1.5418 Å). Input: a DFT-relaxed cell (PBE, Alexandria).
No peak broadening, texture or thermal motion is included.

Most intense lines, 2θ from 10° to 90°, in order of rising 2θ:
- 2θ 14.14, rel. 100.0
- 2θ 30.59, rel. 28.5
- 2θ 36.85, rel. 55.5
- 2θ 42.55, rel. 23.8
- 2θ 45.05, rel. 21.3
- 2θ 47.23, rel. 31.6
- 2θ 61.74, rel. 7.6
- 2θ 74.12, rel. 13.4
- 2θ 75.40, rel. 7.4
- 2θ 81.23, rel. 12.3

Structure:
```
MnBeTe
1.0
-1.502 1.502 6.264
1.502 -1.502 6.264
1.502 1.502 -6.264
Mn Be Te
1 1 1
Direct
0.000 0.000 0.000
0.416 0.416 0.000
0.622 0.622 0.000
```


# ThMnBe
Calculated powder diffractogram, Cu Kα (λ = 1.5418 Å). Input: a DFT-relaxed cell (PBE, Alexandria).
No peak broadening, texture or thermal motion is included.

Most intense lines, 2θ from 10° to 90°, in order of rising 2θ:
- 2θ 22.71, rel. 17.3
- 2θ 25.29, rel. 61.8
- 2θ 34.25, rel. 100.0
- 2θ 44.56, rel. 29.5
- 2θ 50.58, rel. 13.8
- 2θ 53.56, rel. 17.0
- 2θ 57.38, rel. 23.1
- 2θ 66.28, rel. 18.1
- 2θ 75.43, rel. 20.7
- 2θ 78.10, rel. 9.5

Structure:
```
ThMnBe
1.0
4.067 0.000 0.000
-2.033 3.522 0.000
0.000 0.000 3.915
Th Mn Be
1 1 1
Direct
0.000 0.000 0.000
0.333 0.667 0.500
0.667 0.333 0.500
```


# ThMnBe
Calculated powder diffractogram, Cu Kα (λ = 1.5418 Å). Input: a DFT-relaxed cell (PBE, Alexandria).
No peak broadening, texture or thermal motion is included.

Most intense lines, 2θ from 10° to 90°, in order of rising 2θ:
- 2θ 23.21, rel. 72.4
- 2θ 25.29, rel. 85.5
- 2θ 26.59, rel. 15.8
- 2θ 37.18, rel. 100.0
- 2θ 40.50, rel. 29.7
- 2θ 43.75, rel. 18.7
- 2θ 45.36, rel. 16.9
- 2θ 50.10, rel. 19.4
- 2θ 52.64, rel. 24.4
- 2θ 61.13, rel. 18.2

Structure:
```
ThMnBe
1.0
1.999 -6.704 0.000
1.999 6.704 0.000
0.000 0.000 4.139
Th Mn Be
2 2 2
Direct
0.103 0.897 0.750
0.897 0.103 0.250
0.251 0.749 0.250
0.749 0.251 0.750
0.325 0.675 0.750
0.675 0.325 0.250
```


# Ti2MnBe16
Calculated powder diffractogram, Cu Kα (λ = 1.5418 Å). Input: a DFT-relaxed cell (PBE, Alexandria).
No peak broadening, texture or thermal motion is included.

Most intense lines, 2θ from 10° to 90°, in order of rising 2θ:
- 2θ 16.02, rel. 16.1
- 2θ 21.56, rel. 23.7
- 2θ 23.86, rel. 100.0
- 2θ 34.79, rel. 39.9
- 2θ 36.32, rel. 25.1
- 2θ 41.96, rel. 41.5
- 2θ 43.93, rel. 21.1
- 2θ 48.84, rel. 34.6
- 2θ 49.43, rel. 29.7
- 2θ 50.59, rel. 21.7

Structure:
```
Ti2MnBe16
1.0
3.730 2.153 3.570
-3.730 2.153 3.570
0.000 -4.307 3.570
Ti Mn Be
2 1 16
Direct
0.000 0.000 0.000
0.323 0.323 0.323
0.763 0.763 0.763
0.013 0.013 0.510
0.013 0.510 0.013
0.166 0.665 0.665
0.318 0.318 0.828
0.318 0.828 0.318
0.375 0.667 0.961
0.375 0.961 0.667
0.510 0.013 0.013
0.557 0.557 0.557
0.665 0.166 0.665
0.665 0.665 0.166
0.667 0.375 0.961
0.667 0.961 0.375
0.828 0.318 0.318
0.961 0.375 0.667
0.961 0.667 0.375
```


# MnBe2V4
Calculated powder diffractogram, Cu Kα (λ = 1.5418 Å). Input: a DFT-relaxed cell (PBE, Alexandria).
No peak broadening, texture or thermal motion is included.

Most intense lines, 2θ from 10° to 90°, in order of rising 2θ:
- 2θ 15.99, rel. 61.4
- 2θ 22.10, rel. 97.7
- 2θ 32.29, rel. 42.7
- 2θ 33.51, rel. 75.4
- 2θ 41.85, rel. 100.0
- 2θ 46.01, rel. 57.8
- 2θ 47.83, rel. 23.1
- 2θ 53.83, rel. 35.5
- 2θ 60.68, rel. 29.9
- 2θ 63.94, rel. 39.4

Structure:
```
MnBe2V4
1.0
-2.158 2.158 5.544
2.158 -2.158 5.544
2.158 2.158 -5.544
Mn Be V
1 2 4
Direct
0.000 0.000 0.000
0.403 0.403 0.000
0.597 0.597 0.000
0.000 0.500 0.500
0.196 0.196 0.000
0.500 0.000 0.500
0.804 0.804 0.000
```


# MnBeW2
Calculated powder diffractogram, Cu Kα (λ = 1.5418 Å). Input: a DFT-relaxed cell (PBE, Alexandria).
No peak broadening, texture or thermal motion is included.

Most intense lines, 2θ from 10° to 90°, in order of rising 2θ:
- 2θ 18.84, rel. 56.0
- 2θ 28.45, rel. 100.0
- 2θ 33.81, rel. 23.2
- 2θ 40.21, rel. 30.2
- 2θ 41.59, rel. 45.8
- 2θ 42.31, rel. 93.1
- 2θ 43.00, rel. 45.9
- 2θ 44.06, rel. 75.3
- 2θ 47.51, rel. 17.1
- 2θ 61.37, rel. 29.0

Structure:
```
MnBeW2
1.0
2.683 0.000 0.000
0.000 4.207 0.000
-0.737 0.000 4.711
Mn Be W
1 1 2
Direct
0.000 0.000 0.000
0.048 0.500 0.726
0.449 0.000 0.520
0.676 0.500 0.210
```


# YMnBe
Calculated powder diffractogram, Cu Kα (λ = 1.5418 Å). Input: a DFT-relaxed cell (PBE, Alexandria).
No peak broadening, texture or thermal motion is included.

Most intense lines, 2θ from 10° to 90°, in order of rising 2θ:
- 2θ 25.70, rel. 35.6
- 2θ 34.68, rel. 100.0
- 2θ 45.32, rel. 31.9
- 2θ 46.75, rel. 9.7
- 2θ 54.11, rel. 8.8
- 2θ 58.29, rel. 20.8
- 2θ 67.15, rel. 18.5
- 2θ 76.78, rel. 17.7
- 2θ 78.89, rel. 8.2
- 2θ 83.71, rel. 4.9

Structure:
```
YMnBe
1.0
4.002 0.000 0.000
-2.001 3.466 0.000
0.000 0.000 3.886
Y Mn Be
1 1 1
Direct
0.000 0.000 0.000
0.667 0.333 0.500
0.333 0.667 0.500
```


# YMnBe
Calculated powder diffractogram, Cu Kα (λ = 1.5418 Å). Input: a DFT-relaxed cell (PBE, Alexandria).
No peak broadening, texture or thermal motion is included.

Most intense lines, 2θ from 10° to 90°, in order of rising 2θ:
- 2θ 18.13, rel. 19.2
- 2θ 29.79, rel. 90.2
- 2θ 36.74, rel. 26.9
- 2θ 39.78, rel. 100.0
- 2θ 40.48, rel. 57.1
- 2θ 55.81, rel. 30.3
- 2θ 58.59, rel. 18.2
- 2θ 67.10, rel. 16.2
- 2θ 73.16, rel. 30.2
- 2θ 74.22, rel. 17.0

Structure:
```
YMnBe
1.0
-1.576 1.576 4.892
1.576 -1.576 4.892
1.576 1.576 -4.892
Y Mn Be
1 1 1
Direct
0.000 0.000 0.000
0.707 0.707 0.000
0.284 0.284 0.000
```


# MnBeZn2
Calculated powder diffractogram, Cu Kα (λ = 1.5418 Å). Input: a DFT-relaxed cell (PBE, Alexandria).
No peak broadening, texture or thermal motion is included.

Most intense lines, 2θ from 10° to 90°, in order of rising 2θ:
- 2θ 21.23, rel. 49.9
- 2θ 21.80, rel. 38.5
- 2θ 43.24, rel. 52.0
- 2θ 43.66, rel. 50.5
- 2θ 43.80, rel. 100.0
- 2θ 44.44, rel. 95.7
- 2θ 63.13, rel. 31.3
- 2θ 79.71, rel. 15.3
- 2θ 79.83, rel. 15.2
- 2θ 80.16, rel. 15.0

Structure:
```
MnBeZn2
1.0
2.496 -4.184 0.000
2.496 4.184 0.000
-0.902 0.000 2.377
Mn Be Zn
1 1 2
Direct
0.000 0.000 0.000
0.500 0.500 0.000
0.000 0.500 0.500
0.500 0.000 0.500
```


# ZrMn2Be2
Calculated powder diffractogram, Cu Kα (λ = 1.5418 Å). Input: a DFT-relaxed cell (PBE, Alexandria).
No peak broadening, texture or thermal motion is included.

Most intense lines, 2θ from 10° to 90°, in order of rising 2θ:
- 2θ 19.13, rel. 56.9
- 2θ 30.46, rel. 54.6
- 2θ 36.91, rel. 71.8
- 2θ 38.82, rel. 41.7
- 2θ 41.90, rel. 100.0
- 2θ 43.62, rel. 80.8
- 2θ 44.22, rel. 54.5
- 2θ 69.04, rel. 33.2
- 2θ 81.78, rel. 23.5
- 2θ 82.13, rel. 19.1

Structure:
```
ZrMn2Be2
1.0
6.561 0.000 0.000
0.000 6.561 0.000
0.000 0.000 2.861
Zr Mn Be
2 4 4
Direct
0.000 0.000 0.000
0.500 0.500 0.000
0.172 0.328 0.500
0.328 0.828 0.500
0.672 0.172 0.500
0.828 0.672 0.500
0.114 0.614 0.000
0.386 0.114 0.000
0.614 0.886 0.000
0.886 0.386 0.000
```


# Be17Mo2
Calculated powder diffractogram, Cu Kα (λ = 1.5418 Å). Input: a DFT-relaxed cell (PBE, Alexandria).
No peak broadening, texture or thermal motion is included.

Most intense lines, 2θ from 10° to 90°, in order of rising 2θ:
- 2θ 16.34, rel. 70.0
- 2θ 21.91, rel. 25.7
- 2θ 24.40, rel. 100.0
- 2θ 25.24, rel. 31.2
- 2θ 29.51, rel. 21.3
- 2θ 35.40, rel. 95.7
- 2θ 42.95, rel. 36.3
- 2θ 50.01, rel. 28.1
- 2θ 50.47, rel. 51.9
- 2θ 73.79, rel. 22.6

Structure:
```
Be17Mo2
1.0
3.648 2.106 3.528
-3.648 2.106 3.528
0.000 -4.212 3.528
Be Mo
17 2
Direct
0.000 0.000 0.500
0.000 0.299 0.701
0.000 0.500 0.000
0.000 0.701 0.299
0.100 0.100 0.100
0.160 0.650 0.650
0.299 0.000 0.701
0.299 0.701 0.000
0.350 0.350 0.840
0.350 0.840 0.350
0.500 0.000 0.000
0.650 0.160 0.650
0.650 0.650 0.160
0.701 0.000 0.299
0.701 0.299 0.000
0.840 0.350 0.350
0.900 0.900 0.900
0.340 0.340 0.340
0.660 0.660 0.660
```